1.
The following is a simulated XRD peak list of NaPb2Br5. It was derived from a DFT-relaxed cell (GGA-PBE, Alexandria), using CuKα.

Main lines, by intensity (2θ = 5–70°):
two_theta, d (Å), I (rel.)
33.95, 2.641, 100
12.90, 6.864, 82
33.20, 2.698, 80
24.83, 3.585, 72
21.57, 4.121, 71
30.54, 2.927, 56
29.50, 3.028, 54
28.26, 3.158, 51
40.49, 2.228, 48
39.87, 2.261, 48

abc: 9.837 7.806 14.630
angles: 90.00 99.91 90.00
Positions (direct):
Na (0.000, 0.000, 0.000)
Na (0.000, 0.500, 0.500)
Na (0.500, 0.000, 0.000)
Na (0.500, 0.500, 0.500)
Pb (0.160, 0.061, 0.390)
Pb (0.160, 0.439, 0.890)
Pb (0.326, 0.021, 0.710)
Pb (0.326, 0.479, 0.210)
Pb (0.674, 0.521, 0.790)
Pb (0.674, 0.979, 0.290)
Pb (0.840, 0.561, 0.110)
Pb (0.840, 0.939, 0.610)
Br (0.061, 0.118, 0.769)
Br (0.061, 0.382, 0.269)
Br (0.128, 0.672, 0.056)
Br (0.128, 0.828, 0.556)
Br (0.250, 0.194, 0.051)
Br (0.250, 0.306, 0.551)
Br (0.347, 0.742, 0.356)
Br (0.347, 0.758, 0.856)
Br (0.446, 0.221, 0.355)
Br (0.446, 0.279, 0.855)
Br (0.554, 0.721, 0.145)
Br (0.554, 0.779, 0.645)
Br (0.653, 0.242, 0.144)
Br (0.653, 0.258, 0.644)
Br (0.750, 0.694, 0.449)
Br (0.750, 0.806, 0.949)
Br (0.872, 0.172, 0.444)
Br (0.872, 0.328, 0.944)
Br (0.939, 0.618, 0.731)
Br (0.939, 0.882, 0.231)

=====

2.
The following is a simulated XRD peak list of Na2PbBr4. It was derived from a DFT-relaxed cell (GGA-PBE, Alexandria), using CuKα.

Main lines, by intensity (2θ = 5–70°):
two_theta, d (Å), I (rel.)
29.21, 3.057, 100
12.60, 7.027, 87
41.61, 2.170, 76
23.99, 3.709, 58
28.97, 3.082, 51
51.24, 1.783, 21
52.06, 1.757, 20
41.30, 2.186, 19
43.40, 2.085, 19
42.26, 2.138, 18

abc: 7.502 7.502 4.372
angles: 90.00 90.00 110.49
Positions (direct):
Na (0.000, 0.500, 0.000)
Na (0.500, 0.000, 0.000)
Pb (0.000, 0.000, 0.500)
Br (0.247, 0.753, 0.500)
Br (0.249, 0.249, 0.000)
Br (0.751, 0.751, 0.000)
Br (0.753, 0.247, 0.500)

=====

Question: What is the formula in the first record?
Answer: NaPb2Br5

=====

Please write out number 1 again, unchanged.
The following is a simulated XRD peak list of NaPb2Br5. It was derived from a DFT-relaxed cell (GGA-PBE, Alexandria), using CuKα.

Main lines, by intensity (2θ = 5–70°):
two_theta, d (Å), I (rel.)
33.95, 2.641, 100
12.90, 6.864, 82
33.20, 2.698, 80
24.83, 3.585, 72
21.57, 4.121, 71
30.54, 2.927, 56
29.50, 3.028, 54
28.26, 3.158, 51
40.49, 2.228, 48
39.87, 2.261, 48

abc: 9.837 7.806 14.630
angles: 90.00 99.91 90.00
Positions (direct):
Na (0.000, 0.000, 0.000)
Na (0.000, 0.500, 0.500)
Na (0.500, 0.000, 0.000)
Na (0.500, 0.500, 0.500)
Pb (0.160, 0.061, 0.390)
Pb (0.160, 0.439, 0.890)
Pb (0.326, 0.021, 0.710)
Pb (0.326, 0.479, 0.210)
Pb (0.674, 0.521, 0.790)
Pb (0.674, 0.979, 0.290)
Pb (0.840, 0.561, 0.110)
Pb (0.840, 0.939, 0.610)
Br (0.061, 0.118, 0.769)
Br (0.061, 0.382, 0.269)
Br (0.128, 0.672, 0.056)
Br (0.128, 0.828, 0.556)
Br (0.250, 0.194, 0.051)
Br (0.250, 0.306, 0.551)
Br (0.347, 0.742, 0.356)
Br (0.347, 0.758, 0.856)
Br (0.446, 0.221, 0.355)
Br (0.446, 0.279, 0.855)
Br (0.554, 0.721, 0.145)
Br (0.554, 0.779, 0.645)
Br (0.653, 0.242, 0.144)
Br (0.653, 0.258, 0.644)
Br (0.750, 0.694, 0.449)
Br (0.750, 0.806, 0.949)
Br (0.872, 0.172, 0.444)
Br (0.872, 0.328, 0.944)
Br (0.939, 0.618, 0.731)
Br (0.939, 0.882, 0.231)